Structure and simulated powder XRD pattern of Nd3Tm5Th2 (a PBE-relaxed structure; λ = 1.5418 Å (Cu Kα)).

Main lines, in order of falling intensity (2θ = 5–70°):
2theta  d [Å]  intensity
31.6  2.835  100
29.6  3.016  72
33.5  2.678  43
36.1  2.489  24
32.5  2.755  21
63.2  1.472  20
58.6  1.575  17
49.6  1.837  16
47.3  1.920  15
21.1  4.218  14

Structural model:
```
Nd3Tm5Th2
1.0
5.356 -8.435 0.000
5.356 8.435 0.000
-5.342 0.000 7.277
Nd Tm Th
6 10 4
Direct
0.025 0.270 0.042
0.225 0.775 0.750
0.270 0.025 0.542
0.730 0.975 0.458
0.775 0.225 0.250
0.975 0.730 0.958
0.030 0.970 0.750
0.138 0.359 0.751
0.277 0.723 0.250
0.359 0.138 0.251
0.467 0.533 0.250
0.533 0.467 0.750
0.641 0.862 0.749
0.723 0.277 0.750
0.862 0.641 0.249
0.970 0.030 0.250
0.241 0.481 0.470
0.481 0.241 0.970
0.519 0.759 0.030
0.759 0.519 0.530
```